# 1
Calculated powder diffraction line list
Compound: GdLuFe2Ge2C
Radiation: Cu Kα, 1.54184 Å
Structure: a cell relaxed with PBE
Kinematic intensities with the Lorentz-polarization factor, no thermal factor.

Main lines, sorted by position (5° ≤ 2θ ≤ 70°):
Position (°2θ)  intensity
24.9  40
33.8  84
34.1  63
35.1  47
36.4  100
36.6  49
39.7  61
45.9  47

Structural model:
Cell: 5.6833 5.6833 6.7862 Å, 125.87 125.87 40.72°
Sites, in units of the cell vectors:
Gd  0.0000  0.0000  0.0000
Lu  0.1149  0.1149  0.5769
Fe  0.3641  0.3641  0.2036
Fe  0.7561  0.7561  0.3830
Ge  0.3964  0.3964  0.5824
Ge  0.7208  0.7208  0.9983
C  0.5614  0.5614  0.2986

=====

# 2
Calculated powder diffraction line list
Compound: PrGdFe2Ge2C
Radiation: Cu Kα, 1.54184 Å
Structure: a cell relaxed with PBE
Kinematic intensities with the Lorentz-polarization factor, no thermal factor.

Main lines, sorted by position (5° ≤ 2θ ≤ 70°):
Position (°2θ)  intensity
33.0  59
33.4  65
34.5  50
35.4  100
35.7  56
38.9  70
40.2  43
44.8  54

Structural model:
Cell: 5.8056 5.8056 7.0083 Å, 126.16 126.16 40.81°
Sites, in units of the cell vectors:
Pr  0.0000  0.0000  0.0000
Gd  0.8842  0.8842  0.4164
Fe  0.2453  0.2453  0.6158
Fe  0.6331  0.6331  0.7890
Ge  0.2725  0.2725  0.9839
Ge  0.6085  0.6085  0.4271
C  0.4374  0.4374  0.6957